The following is a calculated powder diffraction line list of WF5. It was derived from a structure optimized by DFT (GGA+U), using Cu Kα (λ = 1.5418 Å).
Intensities are scaled so that the largest is 100.

Structural model:
a = 5.6262 Å, b = 9.7213 Å, c = 7.8077 Å
α = 90.00°, β = 113.13°, γ = 90.00°
Fractional positions:
W 0.2372 0.2498 0.4904
W 0.2372 0.2502 0.9904
W 0.7628 0.7498 0.0096
W 0.7628 0.7502 0.5096
F 0.0368 0.0961 0.3621
F 0.0368 0.4039 0.8621
F 0.0816 0.6592 0.5590
F 0.0816 0.8408 0.0590
F 0.2370 0.1816 0.7404
F 0.2370 0.3184 0.2404
F 0.4378 0.0971 0.1197
F 0.4378 0.4029 0.6197
F 0.4446 0.6585 0.9611
F 0.4446 0.8415 0.4611
F 0.5554 0.1585 0.5389
F 0.5554 0.3415 0.0389
F 0.5622 0.5971 0.3803
F 0.5622 0.9029 0.8803
F 0.7630 0.6816 0.7596
F 0.7630 0.8184 0.2596
F 0.9184 0.1592 0.9410
F 0.9184 0.3408 0.4410
F 0.9632 0.5961 0.1379
F 0.9632 0.9039 0.6379

Principal peaks in the range 10° ≤ 2θ ≤ 80°, in order of rising 2θ:
| 2θ/deg | d_spacing | I/Imax |
| --- | --- | --- |
| 18.25 | 4.861 | 61.1 |
| 19.43 | 4.567 | 100.0 |
| 24.80 | 3.590 | 27.6 |
| 25.70 | 3.466 | 50.4 |
| 30.97 | 2.888 | 28.3 |
| 32.61 | 2.746 | 23.5 |
| 36.82 | 2.441 | 17.2 |
| 39.46 | 2.284 | 16.6 |